(1)
This entry pairs a crystal structure of La2NiTe2 with its computed powder diffraction line list. Radiation: Cu Kα. Structure: a structure optimized by DFT (GGA-PBE).
Neutral-atom scattering factors, no anomalous dispersion.

Unit cell a=8.256 b=8.256 c=4.442 alpha=90.00 beta=90.00 gamma=90.00
Space group P4/mbm (No. 127)
Unique sites:
La  0.163  0.337  0.000 (multiplicity 4)
Ni  0.000  0.000  0.000 (multiplicity 2)
Te  0.148  0.648  0.500 (multiplicity 4)

Largest 6 diffraction maxima, in order of rising 2θ, 2θ = 10–90°:
| 2θ (°) | Rel. int. | hkl |
| --- | --- | --- |
| 31.51 | 100 | 2 1 1 |
| 34.35 | 30 | 3 1 0 |
| 49.96 | 15 | 4 1 1 |
| 54.22 | 16 | 3 1 2 |
| 64.27 | 17 | 5 2 1 |
| 68.21 | 15 | 6 0 0 |

(2)
This entry pairs a crystal structure of Ac3SmEr with its computed powder diffraction line list. Radiation: Cu Kα. Structure: a structure optimized by DFT (GGA-PBE).
Neutral-atom scattering factors, no anomalous dispersion.

Unit cell a=6.556 b=9.442 c=13.211 alpha=90.00 beta=90.00 gamma=90.00
Space group Pnna (No. 52)
Unique sites:
Ac  0.088  0.173  0.075 (multiplicity 8)
Ac  0.136  0.250  0.750 (multiplicity 4)
Sm  0.250  0.000  0.557 (multiplicity 4)
Er  0.250  0.000  0.306 (multiplicity 4)

Largest 6 diffraction maxima, in order of rising 2θ, 2θ = 10–90°:
| 2θ (°) | Rel. int. | hkl |
| --- | --- | --- |
| 26.14 | 100 | 1 1 3 |
| 28.83 | 57 | 2 1 0 |
| 29.17 | 59 | 0 3 1 |
| 30.94 | 76 | 1 2 3 |
| 31.78 | 47 | 1 1 4 |
| 46.38 | 30 | 3 0 3 |

(3)
This entry pairs a crystal structure of NdPO4 with its computed powder diffraction line list. Radiation: Cu Kα. Structure: a structure optimized by DFT (GGA-PBE).
Neutral-atom scattering factors, no anomalous dispersion.

Unit cell a=7.1674 b=7.1674 c=6.3993 alpha=90.00 beta=90.00 gamma=120.00
Space group P6_222 (No. 180)
Unique sites:
Nd  0.0000  0.5000  0.1667 (multiplicity 3)
P  0.0000  0.5000  0.6667 (multiplicity 3)
O  0.1371  0.4460  0.8158 (multiplicity 12)

Largest 6 diffraction maxima, in order of rising 2θ, 2θ = 10–90°:
| 2θ (°) | Rel. int. | hkl |
| --- | --- | --- |
| 14.27 | 100 | 1 0 0 |
| 19.93 | 68 | 1 0 1 |
| 28.77 | 99 | 2 0 0 |
| 31.46 | 74 | 1 0 2 |
| 40.97 | 38 | 2 1 1 |
| 48.09 | 49 | 2 1 2 |

(4)
This entry pairs a crystal structure of Li3Bi2P3O12 with its computed powder diffraction line list. Radiation: Cu Kα. Structure: a structure optimized by DFT (GGA-PBE).
Neutral-atom scattering factors, no anomalous dispersion.

Unit cell a=14.797 b=9.576 c=8.718 alpha=90.00 beta=120.75 gamma=90.00
Space group C2/c (No. 15)
Unique sites:
Li  0.162  0.013  0.097 (multiplicity 8)
Li  0.250  0.250  0.500 (multiplicity 4)
Bi  0.105  0.268  0.677 (multiplicity 8)
P  0.000  0.072  0.250 (multiplicity 4)
P  0.183  0.423  0.053 (multiplicity 8)
O  0.063  0.021  0.692 (multiplicity 8)
O  0.071  0.362  0.949 (multiplicity 8)
O  0.082  0.162  0.412 (multiplicity 8)
O  0.185  0.414  0.575 (multiplicity 8)
O  0.238  0.391  0.946 (multiplicity 8)
O  0.245  0.358  0.245 (multiplicity 8)

Largest 6 diffraction maxima, in order of rising 2θ, 2θ = 10–90°:
| 2θ (°) | Rel. int. | hkl |
| --- | --- | --- |
| 13.77 | 57 | 1 1 -1 |
| 18.53 | 39 | 0 2 0 |
| 18.96 | 100 | 1 1 1 |
| 20.28 | 79 | 3 1 -1 |
| 32.31 | 41 | 3 1 -3 |
| 32.64 | 46 | 1 3 1 |

(5)
This entry pairs a crystal structure of PuCd2TeO6 with its computed powder diffraction line list. Radiation: Cu Kα. Structure: a structure optimized by DFT (GGA-PBE).
Neutral-atom scattering factors, no anomalous dispersion.

Unit cell a=6.137 b=6.137 c=4.383 alpha=90.00 beta=90.00 gamma=90.00
Space group P4mm (No. 99)
Unique sites:
Pu  0.000  0.000  0.000 (multiplicity 1)
Cd  0.000  0.500  0.700 (multiplicity 2)
Te  0.500  0.500  0.993 (multiplicity 1)
O  0.000  0.000  0.490 (multiplicity 1)
O  0.253  0.253  0.945 (multiplicity 4)
O  0.500  0.500  0.559 (multiplicity 1)

Largest 6 diffraction maxima, in order of rising 2θ, 2θ = 10–90°:
| 2θ (°) | Rel. int. | hkl |
| --- | --- | --- |
| 20.26 | 50 | 0 0 1 |
| 28.95 | 100 | 1 1 1 |
| 29.10 | 76 | 2 0 0 |
| 41.63 | 44 | 2 2 0 |
| 46.42 | 47 | 1 1 2 |
| 51.50 | 41 | 3 1 1 |

(6)
This entry pairs a crystal structure of TlCuPb2 with its computed powder diffraction line list. Radiation: Cu Kα. Structure: a structure optimized by DFT (GGA-PBE).
Neutral-atom scattering factors, no anomalous dispersion.

Unit cell a=3.456 b=5.594 c=11.129 alpha=90.00 beta=90.00 gamma=90.00
Space group Immm (No. 71)
Unique sites:
Tl  0.000  0.000  0.000 (multiplicity 2)
Cu  0.000  0.000  0.500 (multiplicity 2)
Pb  0.000  0.500  0.204 (multiplicity 4)

Largest 6 diffraction maxima, in order of rising 2θ, 2θ = 10–90°:
| 2θ (°) | Rel. int. | hkl |
| --- | --- | --- |
| 28.88 | 40 | 0 1 3 |
| 32.00 | 37 | 0 2 0 |
| 32.17 | 15 | 0 0 4 |
| 34.50 | 100 | 1 1 2 |
| 58.66 | 22 | 1 3 2 |
| 59.43 | 17 | 1 2 5 |